Starting from a DFT-relaxed cell (GGA-PBE, Alexandria), the powder diffraction line list of RuS4Cl was calculated for CuKα.
Kinematic intensities with the Lorentz-polarization factor, no thermal factor.

Structure:
Cell lengths 6.4571, 7.2941, 7.8219 Å; angles 115.59, 99.26, 103.98 degrees
Space group P-1 (No. 2)
Inequivalent atoms, fractional coordinates:
Ru  0.1955  0.0100  0.4676 (multiplicity 2)
S  0.0341  0.8163  0.6175 (multiplicity 2)
S  0.1554  0.1858  0.7891 (multiplicity 2)
S  0.3941  0.0946  0.2657 (multiplicity 2)
S  0.4185  0.7671  0.4492 (multiplicity 2)
Cl  0.2415  0.5444  0.8784 (multiplicity 2)

Largest 10 diffraction maxima, in order of falling intensity, 2θ from 10° to 90°:
2theta  I (rel.)  index
13.17  100  0 0 1
13.92  96  0 1 -1
14.37  82  0 1 0
23.90  33  0 1 1
37.53  14  1 -3 1
19.63  14  1 -1 1
34.33  13  1 0 2
33.71  13  2 -2 0
32.16  11  2 -1 1
16.64  10  1 -1 0



Starting from a DFT-relaxed cell (GGA-PBE, Alexandria), the powder diffraction line list of RuSe2Cl5 was calculated for CuKα.
Kinematic intensities with the Lorentz-polarization factor, no thermal factor.

Structure:
Cell lengths 4.5857, 7.7743, 8.0976 Å; angles 63.08, 73.90, 73.05 degrees
Space group P1 (No. 1)
Inequivalent atoms, fractional coordinates:
Ru  0.0000  0.0000  0.0000 (multiplicity 1)
Se  0.0095  0.6153  0.5946 (multiplicity 1)
Se  0.4945  0.5024  0.4963 (multiplicity 1)
Cl  0.1151  0.6700  0.0895 (multiplicity 1)
Cl  0.1163  0.0680  0.6885 (multiplicity 1)
Cl  0.4618  0.0338  0.0446 (multiplicity 1)
Cl  0.8564  0.3492  0.9335 (multiplicity 1)
Cl  0.8564  0.9590  0.3312 (multiplicity 1)

Largest 10 diffraction maxima, in order of falling intensity, 2θ from 10° to 90°:
2theta  I (rel.)  index
13.90  100  0 1 1
20.57  32  1 0 0
26.21  28  0 2 0
25.03  28  0 0 2
22.15  24  1 1 0
21.42  20  0 1 -1
26.56  18  1 2 1
39.29  18  2 1 1
36.39  17  0 3 1
26.04  16  1 1 2



Starting from a DFT-relaxed cell (GGA-PBE, Alexandria), the powder diffraction line list of TaRuCl was calculated for CuKα.
Kinematic intensities with the Lorentz-polarization factor, no thermal factor.

Structure:
Cell lengths 3.1327, 3.1327, 24.2921 Å; angles 90.00, 90.00, 90.00 degrees
Space group I-4m2 (No. 119)
Inequivalent atoms, fractional coordinates:
Ta  0.0000  0.0000  0.1525 (multiplicity 4)
Ru  0.0000  0.0000  0.2897 (multiplicity 4)
Cl  0.0000  0.5000  0.0721 (multiplicity 4)

Largest 10 diffraction maxima, in order of falling intensity, 2θ from 10° to 90°:
2theta  I (rel.)  index
38.72  100  1 0 7
44.30  42  1 0 9
40.73  38  1 1 0
41.44  35  1 1 2
72.80  32  2 1 7
30.60  31  1 0 3
14.59  31  0 0 4
46.75  26  1 1 6
58.97  21  2 0 0
28.73  19  1 0 1



Starting from a DFT-relaxed cell (GGA-PBE, Alexandria), the powder diffraction line list of Tb4RuCl5 was calculated for CuKα.
Kinematic intensities with the Lorentz-polarization factor, no thermal factor.

Structure:
Cell lengths 17.9755, 3.9008, 8.4889 Å; angles 90.00, 104.14, 90.00 degrees
Space group C2/m (No. 12)
Inequivalent atoms, fractional coordinates:
Tb  0.0029  0.0000  0.2280 (multiplicity 4)
Tb  0.1503  0.5000  0.0847 (multiplicity 4)
Ru  0.0000  0.5000  0.0000 (multiplicity 2)
Cl  0.0000  0.5000  0.5000 (multiplicity 2)
Cl  0.1694  0.0000  0.3235 (multiplicity 4)
Cl  0.1766  0.0000  0.8613 (multiplicity 4)

Largest 10 diffraction maxima, in order of falling intensity, 2θ from 10° to 90°:
2theta  I (rel.)  index
10.75  100  0 0 1
31.14  86  1 1 -2
10.15  53  2 0 0
30.78  40  6 0 0
44.49  29  5 1 2
44.22  26  7 1 -2
25.25  16  1 1 -1
42.60  16  2 0 -4
27.54  16  3 1 0
12.86  15  2 0 -1



Starting from a DFT-relaxed cell (GGA-PBE, Alexandria), the powder diffraction line list of Th2RuCl2 was calculated for CuKα.
Kinematic intensities with the Lorentz-polarization factor, no thermal factor.

Structure:
Cell lengths 4.0739, 4.0739, 31.7217 Å; angles 90.00, 90.00, 120.00 degrees
Space group R-3m (No. 166, hexagonal axes)
Inequivalent atoms, fractional coordinates:
Th  0.0000  0.0000  0.1168 (multiplicity 6)
Ru  0.0000  0.0000  0.5000 (multiplicity 3)
Cl  0.0000  0.0000  0.2766 (multiplicity 6)

Largest 10 diffraction maxima, in order of falling intensity, 2θ from 10° to 90°:
2theta  I (rel.)  index
28.96  100  0 1 5
34.01  62  0 1 8
44.48  41  1 1 0
45.18  37  1 0 13
27.67  28  1 0 4
57.12  23  2 0 8
45.34  23  1 1 3
25.40  21  1 0 1
51.87  19  0 0 18
38.15  18  1 0 10



Starting from a DFT-relaxed cell (GGA-PBE, Alexandria), the powder diffraction line list of Tl3RuCl7 was calculated for CuKα.
Kinematic intensities with the Lorentz-polarization factor, no thermal factor.

Structure:
Cell lengths 10.3253, 9.6965, 7.8214 Å; angles 90.00, 116.34, 90.00 degrees
Space group Cm (No. 8)
Inequivalent atoms, fractional coordinates:
Tl  0.0000  0.0000  0.0000 (multiplicity 2)
Tl  0.0095  0.2742  0.5076 (multiplicity 4)
Ru  0.4954  0.0000  0.9902 (multiplicity 2)
Cl  0.1372  0.3250  0.1954 (multiplicity 4)
Cl  0.1476  0.5000  0.8359 (multiplicity 2)
Cl  0.3461  0.0000  0.1464 (multiplicity 2)
Cl  0.3532  0.1725  0.7760 (multiplicity 4)
Cl  0.4505  0.5000  0.6112 (multiplicity 2)

Largest 10 diffraction maxima, in order of falling intensity, 2θ from 10° to 90°:
2theta  I (rel.)  index
22.30  100  0 2 1
19.18  71  2 0 0
24.11  48  2 0 -2
33.16  48  2 2 1
25.55  44  2 2 -1
39.31  30  2 2 -3
39.81  28  4 2 -1
25.41  25  0 0 2
35.79  22  4 0 -2
42.97  19  0 2 3



Starting from a DFT-relaxed cell (GGA-PBE, Alexandria), the powder diffraction line list of Tl3RuCl6 was calculated for CuKα.
Kinematic intensities with the Lorentz-polarization factor, no thermal factor.

Structure:
Cell lengths 9.0116, 10.9651, 12.7862 Å; angles 90.00, 90.00, 90.00 degrees
Space group Fmmm (No. 69)
Inequivalent atoms, fractional coordinates:
Tl  0.0000  0.0000  0.0000 (multiplicity 4)
Tl  0.2500  0.2500  0.2500 (multiplicity 8)
Ru  0.0000  0.0000  0.5000 (multiplicity 4)
Cl  0.0000  0.2185  0.5000 (multiplicity 8)
Cl  0.1865  0.0000  0.3698 (multiplicity 16)

Largest 10 diffraction maxima, in order of falling intensity, 2θ from 10° to 90°:
2theta  I (rel.)  index
24.16  100  2 0 2
21.35  84  0 2 2
38.23  54  2 2 4
41.04  47  2 4 2
25.59  39  2 2 0
32.67  30  0 4 0
45.80  25  4 2 2
27.91  22  0 0 4
47.18  15  2 0 6
58.56  15  2 4 6



Starting from a DFT-relaxed cell (GGA-PBE, Alexandria), the powder diffraction line list of TlRuCl4 was calculated for CuKα.
Kinematic intensities with the Lorentz-polarization factor, no thermal factor.

Structure:
Cell lengths 15.8717, 5.9600, 6.4781 Å; angles 90.00, 105.96, 90.00 degrees
Space group C2/c (No. 15)
Inequivalent atoms, fractional coordinates:
Tl  0.0000  0.1929  0.2500 (multiplicity 4)
Ru  0.2500  0.2500  0.0000 (multiplicity 4)
Cl  0.1023  0.3684  0.9305 (multiplicity 8)
Cl  0.2055  0.0774  0.6536 (multiplicity 8)

Largest 10 diffraction maxima, in order of falling intensity, 2θ from 10° to 90°:
2theta  I (rel.)  index
22.49  100  1 1 1
24.41  73  3 1 -1
34.00  47  2 2 -1
23.32  45  4 0 0
42.78  34  7 1 -1
27.81  32  2 0 -2
45.06  29  1 1 -3
39.29  24  5 1 1
41.35  23  2 2 -2
50.02  20  6 2 -2



Starting from a DFT-relaxed cell (GGA-PBE, Alexandria), the powder diffraction line list of Tl3RuCl6 was calculated for CuKα.
Kinematic intensities with the Lorentz-polarization factor, no thermal factor.

Structure:
Cell lengths 7.1755, 7.8843, 12.6074 Å; angles 90.00, 123.34, 90.00 degrees
Space group P2_1/c (No. 14)
Inequivalent atoms, fractional coordinates:
Tl  0.0000  0.0000  0.0000 (multiplicity 2)
Tl  0.2185  0.0696  0.7455 (multiplicity 4)
Ru  0.5000  0.0000  0.5000 (multiplicity 2)
Cl  0.1868  0.1598  0.4626 (multiplicity 4)
Cl  0.2826  0.7463  0.4389 (multiplicity 4)
Cl  0.3890  0.0443  0.2860 (multiplicity 4)

Largest 10 diffraction maxima, in order of falling intensity, 2θ from 10° to 90°:
2theta  I (rel.)  index
24.03  100  1 1 -3
23.59  88  1 1 1
24.82  39  2 0 -2
33.79  38  2 2 -2
22.55  37  0 2 0
34.05  30  0 0 4
42.73  26  3 1 -1
43.47  20  3 1 -5
41.23  19  0 2 4
37.36  18  1 3 0



Starting from a DFT-relaxed cell (GGA-PBE, Alexandria), the powder diffraction line list of ZnRuCl2 was calculated for CuKα.
Kinematic intensities with the Lorentz-polarization factor, no thermal factor.

Structure:
Cell lengths 3.3776, 3.3776, 24.1741 Å; angles 90.00, 90.00, 120.00 degrees
Space group R3m (No. 160, hexagonal axes)
Inequivalent atoms, fractional coordinates:
Zn  0.0000  0.0000  0.0000 (multiplicity 3)
Ru  0.0000  0.0000  0.7489 (multiplicity 3)
Cl  0.0000  0.0000  0.2702 (multiplicity 3)
Cl  0.0000  0.0000  0.4648 (multiplicity 3)

Largest 10 diffraction maxima, in order of falling intensity, 2θ from 10° to 90°:
2theta  I (rel.)  index
10.98  100  0 0 3
34.05  91  1 0 4
43.04  31  0 1 8
40.41  26  1 0 7
54.32  26  1 1 0
52.05  17  0 1 11
65.68  12  0 2 4
82.77  11  1 1 15
22.06  11  0 0 6
30.79  10  1 0 1